# LiMnF3
Calculated powder XRD pattern, copper Kα. Input: a structure optimized by DFT (GGA+U).

```
LiMnF3
1.0
7.242 0.000 0.000
0.000 7.165 0.000
-1.598 0.000 15.482
Li Mn F
12 12 36
direct
0.050 0.127 0.205
0.050 0.373 0.705
0.255 0.114 0.584
0.255 0.386 0.084
0.259 0.635 0.586
0.259 0.865 0.086
0.741 0.135 0.914
0.741 0.365 0.414
0.745 0.614 0.916
0.745 0.886 0.416
0.950 0.627 0.295
0.950 0.873 0.795
0.245 0.124 0.886
0.245 0.376 0.386
0.252 0.632 0.893
0.252 0.868 0.393
0.459 0.626 0.231
0.459 0.874 0.731
0.541 0.126 0.269
0.541 0.374 0.769
0.748 0.132 0.607
0.748 0.368 0.107
0.755 0.624 0.614
0.755 0.876 0.114
0.032 0.167 0.628
0.032 0.333 0.128
0.039 0.584 0.633
0.039 0.916 0.133
0.207 0.625 0.289
0.207 0.875 0.789
0.250 0.124 0.293
0.250 0.376 0.793
0.267 0.130 0.464
0.267 0.370 0.964
0.287 0.613 0.468
0.287 0.887 0.968
0.316 0.624 0.108
0.316 0.876 0.608
0.488 0.175 0.660
0.488 0.325 0.160
0.489 0.582 0.666
0.489 0.918 0.166
0.511 0.082 0.834
0.511 0.418 0.334
0.512 0.675 0.840
0.512 0.825 0.340
0.684 0.124 0.392
0.684 0.376 0.892
0.713 0.113 0.032
0.713 0.387 0.532
0.733 0.630 0.036
0.733 0.870 0.536
0.750 0.624 0.207
0.750 0.876 0.707
0.793 0.125 0.211
0.793 0.375 0.711
0.961 0.084 0.867
0.961 0.416 0.367
0.968 0.667 0.872
0.968 0.833 0.372
```

Principal peaks in the range 2θ = 10–80°, in order of rising 2θ:
11.43°, d = 7.741 Å, rel. 27; 12.29°, d = 7.204 Å, rel. 33; 17.66°, d = 5.023 Å, rel. 100; 22.98°, d = 3.870 Å, rel. 19; 26.19°, d = 3.402 Å, rel. 20; 28.15°, d = 3.170 Å, rel. 19; 30.37°, d = 2.943 Å, rel. 65; 38.08°, d = 2.363 Å, rel. 39; 38.43°, d = 2.343 Å, rel. 34; 41.45°, d = 2.179 Å, rel. 35; 50.98°, d = 1.791 Å, rel. 21; 52.40°, d = 1.746 Å, rel. 20

=====

# LiMn2F7
Calculated powder XRD pattern, copper Kα. Input: a structure optimized by DFT (GGA+U).

```
LiMn2F7
1.0
8.589 -2.561 0.000
8.589 2.561 0.000
-0.128 0.000 5.601
Li Mn F
2 4 14
direct
0.000 0.500 0.000
0.500 0.000 0.500
0.139 0.650 0.715
0.350 0.861 0.785
0.650 0.139 0.215
0.861 0.350 0.285
0.009 0.145 0.560
0.098 0.316 0.304
0.145 0.009 0.060
0.288 0.435 0.994
0.316 0.098 0.804
0.380 0.620 0.750
0.435 0.288 0.494
0.565 0.712 0.506
0.620 0.380 0.250
0.684 0.902 0.196
0.712 0.565 0.006
0.855 0.991 0.940
0.902 0.684 0.696
0.991 0.855 0.440
```

Principal peaks in the range 2θ = 10–80°, in order of rising 2θ:
20.69°, d = 4.293 Å, rel. 66; 24.03°, d = 3.703 Å, rel. 100; 24.19°, d = 3.679 Å, rel. 62; 28.50°, d = 3.132 Å, rel. 31; 35.59°, d = 2.523 Å, rel. 20; 39.63°, d = 2.274 Å, rel. 20; 40.22°, d = 2.242 Å, rel. 27; 40.78°, d = 2.213 Å, rel. 22; 52.32°, d = 1.749 Å, rel. 24; 53.28°, d = 1.719 Å, rel. 28; 54.18°, d = 1.693 Å, rel. 24; 62.84°, d = 1.479 Å, rel. 32

=====

# LiMnF3
Calculated powder XRD pattern, copper Kα. Input: a structure optimized by DFT (GGA+U).

```
LiMnF3
1.0
4.970 -4.623 0.000
4.970 4.623 0.000
-0.968 0.000 5.487
Li Mn F
4 4 12
direct
0.105 0.282 0.294
0.282 0.105 0.794
0.718 0.895 0.206
0.895 0.718 0.706
0.203 0.797 0.250
0.404 0.596 0.750
0.596 0.404 0.250
0.797 0.203 0.750
0.062 0.213 0.602
0.133 0.639 0.896
0.213 0.062 0.102
0.302 0.482 0.374
0.361 0.867 0.604
0.482 0.302 0.874
0.518 0.698 0.126
0.639 0.133 0.396
0.698 0.518 0.626
0.787 0.938 0.898
0.867 0.361 0.104
0.938 0.787 0.398
```

Principal peaks in the range 2θ = 10–80°, in order of rising 2θ:
13.17°, d = 6.722 Å, rel. 28; 18.12°, d = 4.895 Å, rel. 100; 25.19°, d = 3.535 Å, rel. 32; 29.46°, d = 3.032 Å, rel. 30; 32.64°, d = 2.744 Å, rel. 17; 32.87°, d = 2.725 Å, rel. 24; 33.83°, d = 2.650 Å, rel. 37; 40.38°, d = 2.233 Å, rel. 43; 41.69°, d = 2.167 Å, rel. 63; 42.50°, d = 2.127 Å, rel. 20; 57.98°, d = 1.591 Å, rel. 23; 60.84°, d = 1.523 Å, rel. 30

=====

# LiMnF3
Calculated powder XRD pattern, copper Kα. Input: a structure optimized by DFT (GGA+U).

```
LiMnF3
1.0
5.385 0.000 0.000
0.000 5.048 0.000
0.000 0.000 9.007
Li Mn F
4 4 12
direct
0.250 0.000 0.188
0.250 0.500 0.312
0.750 0.000 0.812
0.750 0.500 0.688
0.250 0.000 0.598
0.250 0.500 0.902
0.750 0.000 0.402
0.750 0.500 0.098
0.048 0.250 0.750
0.085 0.219 0.413
0.085 0.281 0.087
0.415 0.719 0.087
0.415 0.781 0.413
0.452 0.750 0.750
0.548 0.250 0.250
0.585 0.219 0.587
0.585 0.281 0.913
0.915 0.719 0.913
0.915 0.781 0.587
0.952 0.750 0.250
```

Principal peaks in the range 2θ = 10–80°, in order of rising 2θ:
19.20°, d = 4.622 Å, rel. 22; 20.16°, d = 4.404 Å, rel. 100; 31.38°, d = 2.851 Å, rel. 70; 37.87°, d = 2.376 Å, rel. 15; 38.69°, d = 2.327 Å, rel. 36; 39.22°, d = 2.297 Å, rel. 22; 40.73°, d = 2.215 Å, rel. 12; 49.50°, d = 1.842 Å, rel. 28; 50.16°, d = 1.819 Å, rel. 38; 58.27°, d = 1.583 Å, rel. 15; 60.05°, d = 1.541 Å, rel. 18; 61.27°, d = 1.513 Å, rel. 13

=====

# Li3MnF6
Calculated powder XRD pattern, copper Kα. Input: a structure optimized by DFT (GGA+U).

```
Li3MnF6
1.0
2.574 -4.495 0.000
2.574 4.495 0.000
-0.794 0.000 5.015
Li Mn F
3 1 6
direct
0.000 0.000 0.000
0.304 0.696 0.000
0.696 0.304 0.000
0.000 0.000 0.500
0.015 0.312 0.790
0.277 0.277 0.308
0.312 0.015 0.790
0.688 0.985 0.210
0.723 0.723 0.692
0.985 0.688 0.210
```

Principal peaks in the range 2θ = 10–80°, in order of rising 2θ:
17.68°, d = 5.015 Å, rel. 13; 19.75°, d = 4.495 Å, rel. 44; 20.06°, d = 4.426 Å, rel. 100; 24.95°, d = 3.568 Å, rel. 23; 26.63°, d = 3.347 Å, rel. 53; 37.06°, d = 2.426 Å, rel. 23; 40.55°, d = 2.225 Å, rel. 55; 43.85°, d = 2.065 Å, rel. 15; 48.56°, d = 1.875 Å, rel. 18; 55.37°, d = 1.659 Å, rel. 21; 61.95°, d = 1.498 Å, rel. 19; 63.01°, d = 1.475 Å, rel. 14

=====

# LiMn2F7
Calculated powder XRD pattern, copper Kα. Input: a structure optimized by DFT (GGA+U).

```
LiMn2F7
1.0
2.750 -4.998 0.000
2.750 4.998 0.000
-2.695 0.000 9.344
Li Mn F
2 4 14
direct
0.244 0.756 0.500
0.756 0.244 0.000
0.331 0.403 0.768
0.403 0.331 0.268
0.879 0.975 0.414
0.975 0.879 0.914
0.022 0.642 0.005
0.097 0.162 0.095
0.141 0.929 0.331
0.162 0.097 0.595
0.166 0.395 0.371
0.242 0.608 0.670
0.395 0.166 0.871
0.538 0.713 0.934
0.591 0.762 0.243
0.608 0.242 0.170
0.642 0.022 0.505
0.713 0.538 0.434
0.762 0.591 0.743
0.929 0.141 0.831
```

Principal peaks in the range 2θ = 10–80°, in order of rising 2θ:
17.75°, d = 4.998 Å, rel. 100; 19.00°, d = 4.670 Å, rel. 65; 23.40°, d = 3.802 Å, rel. 59; 26.11°, d = 3.413 Å, rel. 34; 30.18°, d = 2.961 Å, rel. 36; 31.77°, d = 2.816 Å, rel. 24; 33.92°, d = 2.643 Å, rel. 16; 37.32°, d = 2.410 Å, rel. 28; 38.64°, d = 2.330 Å, rel. 31; 46.69°, d = 1.945 Å, rel. 17; 47.59°, d = 1.911 Å, rel. 22; 61.94°, d = 1.498 Å, rel. 20

=====

# Li3Mn2F7
Calculated powder XRD pattern, copper Kα. Input: a structure optimized by DFT (GGA+U).

```
Li3Mn2F7
1.0
7.599 0.000 0.000
0.000 10.874 0.000
-5.065 0.000 7.596
Li Mn F
12 8 28
direct
0.110 0.096 0.305
0.110 0.404 0.805
0.251 0.585 0.210
0.251 0.915 0.710
0.354 0.707 0.972
0.354 0.793 0.472
0.646 0.207 0.528
0.646 0.293 0.028
0.749 0.085 0.290
0.749 0.415 0.790
0.890 0.596 0.195
0.890 0.904 0.695
0.232 0.584 0.616
0.232 0.916 0.116
0.292 0.221 0.645
0.292 0.279 0.145
0.708 0.721 0.855
0.708 0.779 0.355
0.768 0.084 0.884
0.768 0.416 0.384
0.029 0.126 0.470
0.029 0.374 0.970
0.129 0.106 0.072
0.129 0.394 0.572
0.198 0.636 0.383
0.198 0.864 0.883
0.208 0.571 0.829
0.208 0.929 0.329
0.339 0.219 0.415
0.339 0.281 0.915
0.383 0.730 0.199
0.383 0.770 0.699
0.439 0.045 0.755
0.439 0.455 0.255
0.561 0.545 0.745
0.561 0.955 0.245
0.617 0.230 0.301
0.617 0.270 0.801
0.661 0.719 0.085
0.661 0.781 0.585
0.792 0.071 0.671
0.792 0.429 0.171
0.802 0.136 0.117
0.802 0.364 0.617
0.871 0.606 0.428
0.871 0.894 0.928
0.971 0.626 0.030
0.971 0.874 0.530
```

Principal peaks in the range 2θ = 10–80°, in order of rising 2θ:
14.22°, d = 6.227 Å, rel. 15; 14.74°, d = 6.008 Å, rel. 27; 19.48°, d = 4.558 Å, rel. 100; 20.46°, d = 4.341 Å, rel. 53; 28.23°, d = 3.161 Å, rel. 35; 28.38°, d = 3.145 Å, rel. 62; 35.96°, d = 2.497 Å, rel. 19; 39.54°, d = 2.279 Å, rel. 50; 46.20°, d = 1.965 Å, rel. 17; 48.70°, d = 1.870 Å, rel. 17; 50.07°, d = 1.822 Å, rel. 29; 55.17°, d = 1.665 Å, rel. 17

=====

# LiMnF3
Calculated powder XRD pattern, copper Kα. Input: a structure optimized by DFT (GGA+U).

```
LiMnF3
1.0
5.938 0.000 0.000
-2.969 5.142 0.000
0.000 0.000 11.677
Li Mn F
6 6 18
direct
0.000 0.326 0.000
0.002 0.671 0.502
0.325 0.000 0.000
0.329 0.330 0.502
0.670 0.998 0.502
0.674 0.675 0.000
0.000 0.000 0.253
0.000 0.000 0.747
0.333 0.667 0.285
0.333 0.667 0.784
0.667 0.333 0.218
0.667 0.333 0.719
0.000 0.000 0.002
0.000 0.000 0.504
0.041 0.685 0.674
0.043 0.356 0.175
0.313 0.957 0.175
0.315 0.356 0.674
0.333 0.667 0.468
0.333 0.667 0.966
0.352 0.042 0.827
0.357 0.310 0.329
0.644 0.687 0.175
0.644 0.959 0.674
0.667 0.333 0.035
0.667 0.333 0.536
0.690 0.047 0.329
0.690 0.648 0.827
0.953 0.643 0.329
0.958 0.310 0.827
```

Principal peaks in the range 2θ = 10–80°, in order of rising 2θ:
15.18°, d = 5.838 Å, rel. 100; 23.05°, d = 3.859 Å, rel. 15; 30.10°, d = 2.969 Å, rel. 62; 30.62°, d = 2.919 Å, rel. 17; 31.08°, d = 2.877 Å, rel. 15; 33.87°, d = 2.646 Å, rel. 20; 38.12°, d = 2.361 Å, rel. 16; 38.25°, d = 2.353 Å, rel. 14; 43.48°, d = 2.082 Å, rel. 56; 50.12°, d = 1.820 Å, rel. 15; 53.46°, d = 1.714 Å, rel. 44; 55.91°, d = 1.645 Å, rel. 14